# TlFeIF2
Simulated powder diffraction line list, CuKα. Input: a DFT-relaxed cell (PBE+U, Alexandria).
Kinematic intensities with the Lorentz-polarization factor, no thermal factor.

Structural model:
```
TlFeIF2
1.0
6.4586 0.0000 0.0000
0.0000 4.0551 0.0000
-0.3809 0.0000 9.4669
Tl Fe I F
2 2 2 4
Direct
0.2295 0.2500 0.4347
0.7705 0.7500 0.5653
0.4556 0.2500 0.8597
0.5444 0.7500 0.1403
0.0388 0.2500 0.8073
0.9612 0.7500 0.1927
0.4637 0.7500 0.3432
0.4833 0.2500 0.0946
0.5167 0.7500 0.9054
0.5363 0.2500 0.6568
```

Principal peaks in the range 15 to 90 degrees two-theta, most intense first:
two_theta  I_rel  hkl
25.95  100  1 1 0
28.99  81  0 1 2
22.85  71  1 0 -2
27.83  63  1 1 1
37.14  52  2 1 1
29.61  46  2 0 1